This entry pairs a crystal structure of SrTl4In15 with its simulated X-ray diffraction stick pattern. Radiation: Cu Kα (weighted mean of Kα1 and Kα2). Structure: a PBE-relaxed structure.
No peak broadening, texture or thermal motion is included.

abc: 5.491 5.491 19.149
angles: 90.00 90.00 90.00
Atoms (fractional coordinates):
Sr1 0.000 0.000 0.000
Tl1 0.000 0.000 0.202
Tl2 0.000 0.000 0.402
Tl3 0.000 0.000 0.598
Tl4 0.000 0.000 0.798
In1 0.000 0.500 0.111
In2 0.000 0.500 0.301
In3 0.000 0.500 0.500
In4 0.000 0.500 0.699
In5 0.000 0.500 0.889
In6 0.500 0.000 0.111
In7 0.500 0.000 0.301
In8 0.500 0.000 0.500
In9 0.500 0.000 0.699
In10 0.500 0.000 0.889
In11 0.500 0.500 0.000
In12 0.500 0.500 0.208
In13 0.500 0.500 0.400
In14 0.500 0.500 0.600
In15 0.500 0.500 0.792

Main lines, sorted by position (15° ≤ 2θ ≤ 90°):
Position (°2θ)  I_rel
32.61  52
32.85  100
46.79  19
47.48  8
58.35  38
58.79  17
68.87  10
77.78  8
77.91  8
78.94  6


This entry pairs a crystal structure of Sr3TlIn2 with its simulated X-ray diffraction stick pattern. Radiation: Cu Kα (weighted mean of Kα1 and Kα2). Structure: a PBE-relaxed structure.
No peak broadening, texture or thermal motion is included.

abc: 5.767 17.355 4.076
angles: 90.00 90.00 90.00
Atoms (fractional coordinates):
Sr1 0.000 0.000 0.000
Sr2 0.000 0.333 0.000
Sr3 0.000 0.667 0.000
Sr4 0.500 0.167 0.000
Sr5 0.500 0.500 0.000
Sr6 0.500 0.833 0.000
Tl1 0.000 0.500 0.500
Tl2 0.500 0.000 0.500
In1 0.000 0.167 0.500
In2 0.000 0.833 0.500
In3 0.500 0.333 0.500
In4 0.500 0.667 0.500

Main lines, sorted by position (15° ≤ 2θ ≤ 90°):
Position (°2θ)  I_rel
21.77  8
30.98  100
31.02  20
44.39  22
55.06  23
55.17  23
64.62  12
73.28  10
73.42  10
89.72  4


This entry pairs a crystal structure of SrTmIn6 with its simulated X-ray diffraction stick pattern. Radiation: Cu Kα (weighted mean of Kα1 and Kα2). Structure: a PBE-relaxed structure.
No peak broadening, texture or thermal motion is included.

abc: 4.730 4.730 9.491
angles: 90.00 90.00 90.00
Atoms (fractional coordinates):
Sr1 0.000 0.000 0.000
Tm1 0.000 0.000 0.500
In1 0.000 0.500 0.260
In2 0.000 0.500 0.740
In3 0.500 0.000 0.260
In4 0.500 0.000 0.740
In5 0.500 0.500 0.000
In6 0.500 0.500 0.500

Main lines, sorted by position (15° ≤ 2θ ≤ 90°):
Position (°2θ)  I_rel
32.76  100
37.92  16
38.05  33
39.22  3
54.81  22
54.91  11
65.25  12
65.43  26
68.67  11
81.38  4


This entry pairs a crystal structure of SrInW4 with its simulated X-ray diffraction stick pattern. Radiation: Cu Kα (weighted mean of Kα1 and Kα2). Structure: a PBE-relaxed structure.
No peak broadening, texture or thermal motion is included.

abc: 5.538 5.538 5.538
angles: 60.00 60.00 60.00
Atoms (fractional coordinates):
Sr1 0.000 0.000 0.000
In1 0.250 0.250 0.250
W1 0.123 0.626 0.626
W2 0.626 0.123 0.626
W3 0.626 0.626 0.123
W4 0.626 0.626 0.626

Main lines, sorted by position (15° ≤ 2θ ≤ 90°):
Position (°2θ)  I_rel
19.63  32
32.33  13
38.11  100
39.87  60
46.37  15
50.81  8
61.52  33
67.67  31
80.39  12
81.52  23


- Which formula does entry 1 have?
  SrTl4In15